1.
Theoretical powder diffractogram
Compound: TlCu7S4
Radiation: CuKα
Structure: a crystal structure in Alexandria, relaxed with GGA-PBE
Neutral-atom scattering factors, no anomalous dispersion.

Crystal structure
Unit cell a=10.257 b=10.257 c=7.606 alpha=90.00 beta=90.00 gamma=90.00
Sites, in units of the cell vectors:
1 Tl 0.250 0.250 0.114
2 Tl 0.250 0.250 0.616
3 Tl 0.750 0.750 0.384
4 Tl 0.750 0.750 0.886
5 Cu 0.000 0.000 0.000
6 Cu 0.000 0.500 0.000
7 Cu 0.022 0.949 0.657
8 Cu 0.051 0.522 0.343
9 Cu 0.108 0.782 0.390
10 Cu 0.117 0.773 0.883
11 Cu 0.218 0.608 0.610
12 Cu 0.227 0.617 0.117
13 Cu 0.273 0.883 0.117
14 Cu 0.282 0.892 0.610
15 Cu 0.383 0.727 0.883
16 Cu 0.392 0.718 0.390
17 Cu 0.449 0.978 0.343
18 Cu 0.478 0.551 0.657
19 Cu 0.500 0.000 0.000
20 Cu 0.500 0.500 0.000
21 Cu 0.522 0.449 0.343
22 Cu 0.551 0.022 0.657
23 Cu 0.608 0.282 0.610
24 Cu 0.617 0.273 0.117
25 Cu 0.718 0.108 0.390
26 Cu 0.727 0.117 0.883
27 Cu 0.773 0.383 0.883
28 Cu 0.782 0.392 0.390
29 Cu 0.883 0.227 0.117
30 Cu 0.892 0.218 0.610
31 Cu 0.949 0.478 0.657
32 Cu 0.978 0.051 0.343
33 S 0.011 0.689 0.135
34 S 0.012 0.688 0.634
35 S 0.188 0.988 0.366
36 S 0.189 0.989 0.865
37 S 0.311 0.511 0.865
38 S 0.312 0.512 0.366
39 S 0.488 0.812 0.634
40 S 0.489 0.811 0.135
41 S 0.511 0.189 0.865
42 S 0.512 0.188 0.366
43 S 0.688 0.488 0.634
44 S 0.689 0.489 0.135
45 S 0.811 0.011 0.135
46 S 0.812 0.012 0.634
47 S 0.988 0.312 0.366
48 S 0.989 0.311 0.865

Principal peaks in the range 2θ = 10–90°, low angle first:
2θ (°), intensity
24.55, 40
24.97, 41
27.50, 78
30.53, 53
34.99, 43
35.30, 100
39.58, 87
43.49, 39
50.56, 52
51.99, 39

---

2.
Theoretical powder diffractogram
Compound: TlCu3S2
Radiation: CuKα
Structure: a crystal structure in Alexandria, relaxed with GGA-PBE
Neutral-atom scattering factors, no anomalous dispersion.

Crystal structure
Unit cell a=7.529 b=7.529 c=8.479 alpha=110.81 beta=110.81 gamma=29.69
Sites, in units of the cell vectors:
1 Tl 0.140 0.140 0.055
2 Tl 0.860 0.860 0.945
3 Cu 0.060 0.060 0.404
4 Cu 0.313 0.313 0.584
5 Cu 0.410 0.410 0.362
6 Cu 0.590 0.590 0.638
7 Cu 0.687 0.687 0.416
8 Cu 0.940 0.940 0.596
9 S 0.186 0.186 0.672
10 S 0.477 0.477 0.767
11 S 0.523 0.523 0.233
12 S 0.814 0.814 0.328

Principal peaks in the range 2θ = 10–90°, low angle first:
2θ (°), intensity
22.55, 24
25.48, 35
26.33, 30
31.40, 67
34.68, 25
35.10, 100
40.24, 63
47.11, 35
50.17, 27
51.98, 42

---

3.
Theoretical powder diffractogram
Compound: U2TlCu2S6
Radiation: CuKα
Structure: a crystal structure in Alexandria, relaxed with GGA-PBE
Neutral-atom scattering factors, no anomalous dispersion.

Crystal structure
Unit cell a=7.085 b=7.265 c=7.374 alpha=91.02 beta=117.58 gamma=118.89
Sites, in units of the cell vectors:
1 U 0.158 0.329 0.488
2 U 0.842 0.671 0.512
3 Tl 0.500 0.000 0.500
4 Cu 0.366 0.310 0.067
5 Cu 0.634 0.690 0.933
6 S 0.046 0.083 0.739
7 S 0.275 0.684 0.738
8 S 0.354 0.542 0.261
9 S 0.646 0.458 0.739
10 S 0.725 0.316 0.262
11 S 0.954 0.917 0.261

Principal peaks in the range 2θ = 10–90°, low angle first:
2θ (°), intensity
14.26, 90
24.41, 19
24.52, 28
25.15, 35
28.09, 21
28.48, 55
28.71, 100
37.60, 16
38.12, 57
52.54, 20

---

4.
Theoretical powder diffractogram
Compound: TmCu2S3
Radiation: CuKα
Structure: a crystal structure in Alexandria, relaxed with GGA-PBE
Neutral-atom scattering factors, no anomalous dispersion.

Crystal structure
Unit cell a=7.099 b=7.099 c=4.722 alpha=90.00 beta=90.00 gamma=111.62
Sites, in units of the cell vectors:
1 Tm 0.241 0.759 0.750
2 Tm 0.759 0.241 0.250
3 Cu 0.301 0.301 0.000
4 Cu 0.301 0.301 0.500
5 Cu 0.699 0.699 0.000
6 Cu 0.699 0.699 0.500
7 S 0.044 0.346 0.750
8 S 0.346 0.044 0.250
9 S 0.385 0.615 0.250
10 S 0.615 0.385 0.750
11 S 0.654 0.956 0.750
12 S 0.956 0.654 0.250

Principal peaks in the range 2θ = 10–90°, low angle first:
2θ (°), intensity
23.16, 68
27.02, 100
30.45, 26
31.74, 79
39.65, 40
41.21, 50
44.57, 57
45.48, 34
52.04, 25
54.95, 33

---

5.
Theoretical powder diffractogram
Compound: V3Cu4S8
Radiation: CuKα
Structure: a crystal structure in Alexandria, relaxed with GGA-PBE
Neutral-atom scattering factors, no anomalous dispersion.

Crystal structure
Unit cell a=7.284 b=7.284 c=7.284 alpha=60.14 beta=60.14 gamma=60.14
Sites, in units of the cell vectors:
1 V 0.176 0.176 0.647
2 V 0.176 0.647 0.176
3 V 0.647 0.176 0.176
4 Cu 0.423 0.423 0.880
5 Cu 0.423 0.880 0.423
6 Cu 0.800 0.800 0.800
7 Cu 0.880 0.423 0.423
8 S 0.012 0.553 0.553
9 S 0.033 0.033 0.033
10 S 0.038 0.038 0.559
11 S 0.038 0.559 0.038
12 S 0.514 0.514 0.514
13 S 0.553 0.012 0.553
14 S 0.553 0.553 0.012
15 S 0.559 0.038 0.038

Principal peaks in the range 2θ = 10–90°, low angle first:
2θ (°), intensity
14.91, 32
24.44, 31
28.70, 100
30.03, 29
38.04, 16
39.08, 12
42.95, 17
45.72, 30
49.98, 49
50.09, 45

---

6.
Theoretical powder diffractogram
Compound: V7Cu2S12
Radiation: CuKα
Structure: a crystal structure in Alexandria, relaxed with GGA-PBE
Neutral-atom scattering factors, no anomalous dispersion.

Crystal structure
Unit cell a=6.671 b=6.706 c=8.026 alpha=107.77 beta=90.00 gamma=106.65
Sites, in units of the cell vectors:
1 V 0.000 0.000 0.000
2 V 0.051 0.359 0.846
3 V 0.284 0.975 0.488
4 V 0.385 0.691 0.181
5 V 0.615 0.309 0.819
6 V 0.716 0.025 0.512
7 V 0.949 0.641 0.154
8 Cu 0.334 0.334 0.336
9 Cu 0.666 0.666 0.664
10 S 0.008 0.030 0.312
11 S 0.144 0.597 0.373
12 S 0.189 0.740 0.963
13 S 0.319 0.299 0.014
14 S 0.343 0.364 0.650
15 S 0.477 0.930 0.705
16 S 0.523 0.070 0.295
17 S 0.657 0.636 0.350
18 S 0.681 0.701 0.986
19 S 0.811 0.260 0.037
20 S 0.856 0.403 0.627
21 S 0.992 0.970 0.688

Principal peaks in the range 2θ = 10–90°, low angle first:
2θ (°), intensity
17.29, 64
31.48, 38
35.02, 100
44.51, 42
44.64, 42
45.09, 37
45.19, 40
45.41, 39
47.72, 46
56.53, 34

---

7.
Theoretical powder diffractogram
Compound: V4Cu3S8
Radiation: CuKα
Structure: a crystal structure in Alexandria, relaxed with GGA-PBE
Neutral-atom scattering factors, no anomalous dispersion.

Crystal structure
Unit cell a=7.325 b=7.325 c=7.325 alpha=54.04 beta=54.04 gamma=54.04
Sites, in units of the cell vectors:
1 V 0.000 0.000 0.000
2 V 0.055 0.470 0.470
3 V 0.470 0.055 0.470
4 V 0.470 0.470 0.055
5 Cu 0.103 0.665 0.665
6 Cu 0.665 0.103 0.665
7 Cu 0.665 0.665 0.103
8 S 0.245 0.245 0.245
9 S 0.246 0.246 0.751
10 S 0.246 0.751 0.246
11 S 0.263 0.761 0.761
12 S 0.725 0.725 0.725
13 S 0.751 0.246 0.246
14 S 0.761 0.263 0.761
15 S 0.761 0.761 0.263

Principal peaks in the range 2θ = 10–90°, low angle first:
2θ (°), intensity
14.20, 22
18.08, 32
31.41, 100
32.51, 42
36.63, 46
39.47, 23
41.71, 20
46.33, 61
50.24, 64
55.20, 55

---

8.
Theoretical powder diffractogram
Compound: Cu3WS4
Radiation: CuKα
Structure: a crystal structure in Alexandria, relaxed with GGA-PBE
Neutral-atom scattering factors, no anomalous dispersion.

Crystal structure
Unit cell a=7.456 b=6.465 c=6.225 alpha=90.00 beta=90.00 gamma=90.00
Sites, in units of the cell vectors:
1 Cu 0.000 0.153 0.000
2 Cu 0.249 0.334 0.498
3 Cu 0.251 0.666 0.998
4 Cu 0.500 0.847 0.500
5 Cu 0.749 0.666 0.998
6 Cu 0.751 0.334 0.498
7 W 0.000 0.832 0.512
8 W 0.500 0.168 0.012
9 S 0.000 0.164 0.630
10 S 0.000 0.823 0.146
11 S 0.248 0.332 0.129
12 S 0.252 0.668 0.629
13 S 0.500 0.177 0.646
14 S 0.500 0.836 0.130
15 S 0.748 0.668 0.629
16 S 0.752 0.332 0.129

Principal peaks in the range 2θ = 10–90°, low angle first:
2θ (°), intensity
18.16, 17
18.57, 21
27.61, 65
28.68, 47
31.19, 100
40.24, 28
48.83, 51
52.41, 55
57.61, 37
74.44, 19

---

9.
Theoretical powder diffractogram
Compound: YCuS2
Radiation: CuKα
Structure: a crystal structure in Alexandria, relaxed with GGA-PBE
Neutral-atom scattering factors, no anomalous dispersion.

Crystal structure
Unit cell a=6.373 b=7.020 c=6.767 alpha=90.00 beta=97.14 gamma=90.00
Sites, in units of the cell vectors:
1 Y 0.193 0.048 0.301
2 Y 0.193 0.452 0.801
3 Y 0.807 0.548 0.199
4 Y 0.807 0.952 0.699
5 Cu 0.419 0.661 0.450
6 Cu 0.419 0.839 0.950
7 Cu 0.581 0.161 0.050
8 Cu 0.581 0.339 0.550
9 S 0.074 0.727 0.497
10 S 0.074 0.773 0.997
11 S 0.409 0.114 0.720
12 S 0.409 0.386 0.220
13 S 0.591 0.614 0.780
14 S 0.591 0.886 0.280
15 S 0.926 0.227 0.003
16 S 0.926 0.273 0.503

Principal peaks in the range 2θ = 10–90°, low angle first:
2θ (°), intensity
24.10, 100
28.51, 28
31.31, 46
32.38, 93
34.23, 61
37.05, 58
38.31, 29
40.84, 27
42.39, 33
42.80, 30

---

10.
Theoretical powder diffractogram
Compound: Y2ZrCuS
Radiation: CuKα
Structure: a crystal structure in Alexandria, relaxed with GGA-PBE
Neutral-atom scattering factors, no anomalous dispersion.

Crystal structure
Unit cell a=5.585 b=5.585 c=4.563 alpha=90.00 beta=90.00 gamma=90.00
Sites, in units of the cell vectors:
1 Y 0.000 0.500 0.000
2 Y 0.500 0.000 0.000
3 Zr 0.000 0.000 0.000
4 Cu 0.000 0.000 0.500
5 S 0.500 0.500 0.500

Principal peaks in the range 2θ = 10–90°, low angle first:
2θ (°), intensity
15.87, 63
19.45, 37
29.92, 62
32.05, 100
37.77, 26
39.50, 28
45.96, 35
51.74, 49
62.17, 28
89.45, 20

---

11.
Theoretical powder diffractogram
Compound: ZrCu3S4
Radiation: CuKα
Structure: a crystal structure in Alexandria, relaxed with GGA-PBE
Neutral-atom scattering factors, no anomalous dispersion.

Crystal structure
Unit cell a=3.772 b=6.249 c=6.249 alpha=85.13 beta=90.00 gamma=90.00
Sites, in units of the cell vectors:
1 Zr 0.000 0.000 0.000
2 Cu 0.000 0.344 0.344
3 Cu 0.500 0.429 0.853
4 Cu 0.500 0.853 0.429
5 S 0.000 0.304 0.709
6 S 0.000 0.709 0.304
7 S 0.500 0.208 0.208
8 S 0.500 0.805 0.805

Principal peaks in the range 2θ = 10–90°, low angle first:
2θ (°), intensity
27.65, 24
28.67, 55
30.65, 100
31.80, 29
33.25, 49
39.33, 34
42.79, 26
46.21, 21
48.26, 30
50.17, 67

---

12.
Theoretical powder diffractogram
Compound: ZrCu2S3
Radiation: CuKα
Structure: a crystal structure in Alexandria, relaxed with GGA-PBE
Neutral-atom scattering factors, no anomalous dispersion.

Crystal structure
Unit cell a=7.096 b=3.671 c=10.021 alpha=90.00 beta=101.57 gamma=90.00
Sites, in units of the cell vectors:
1 Zr 0.249 0.250 0.202
2 Zr 0.751 0.750 0.798
3 Cu 0.068 0.250 0.919
4 Cu 0.410 0.750 0.417
5 Cu 0.590 0.250 0.583
6 Cu 0.932 0.750 0.081
7 S 0.080 0.750 0.312
8 S 0.259 0.750 0.008
9 S 0.433 0.750 0.657
10 S 0.567 0.250 0.343
11 S 0.741 0.250 0.992
12 S 0.920 0.250 0.688

Principal peaks in the range 2θ = 10–90°, low angle first:
2θ (°), intensity
14.06, 100
28.13, 13
34.52, 14
36.79, 14
37.14, 7
37.63, 8
38.08, 7
44.13, 7
48.49, 9
49.65, 12